This entry pairs a crystal structure of TaAuO3 with its calculated X-ray powder pattern. Radiation: Cu Kα (λ = 1.5418 Å). Structure: a cell relaxed with PBE.
Kinematic intensities with the Lorentz-polarization factor, no thermal factor.

Atomic structure:
```
data_TaAuO3
_cell_length_a 6.238
_cell_length_b 6.238
_cell_length_c 6.238
_cell_angle_alpha 51.30
_cell_angle_beta 51.30
_cell_angle_gamma 51.30
_space_group_name_H-M_alt 'P 1'
_space_group_IT_number 1
_space_group_name_Hall 'P 1'
loop_
_atom_site_label
_atom_site_type_symbol
_atom_site_fract_x
_atom_site_fract_y
_atom_site_fract_z
_atom_site_occupancy
Ta1 Ta 0.157 0.157 0.157 1
Ta2 Ta 0.843 0.843 0.843 1
Au1 Au 0.366 0.366 0.366 1
Au2 Au 0.634 0.634 0.634 1
O1 O 0.035 0.441 0.819 1
O2 O 0.181 0.965 0.559 1
O3 O 0.441 0.819 0.035 1
O4 O 0.559 0.181 0.965 1
O5 O 0.819 0.035 0.441 1
O6 O 0.965 0.559 0.181 1
```

Largest 10 diffraction maxima, in order of rising 2θ, 2θ from 10° to 90°:
2θ 21.94, d 4.051, rel. 20; 2θ 29.16, d 3.063, rel. 100; 2θ 33.17, d 2.701, rel. 99; 2θ 44.74, d 2.026, rel. 33; 2θ 47.61, d 1.910, rel. 32; 2θ 56.82, d 1.620, rel. 33; 2θ 59.27, d 1.559, rel. 22; 2θ 60.45, d 1.531, rel. 13; 2θ 69.63, d 1.350, rel. 20; 2θ 77.21, d 1.236, rel. 13



This entry pairs a crystal structure of LaSmGd2Tl2 with its calculated X-ray powder pattern. Radiation: Cu Kα (λ = 1.5418 Å). Structure: a cell relaxed with PBE.
Kinematic intensities with the Lorentz-polarization factor, no thermal factor.

Atomic structure:
```
data_LaSmGd2Tl2
_cell_length_a 5.527
_cell_length_b 5.527
_cell_length_c 6.874
_cell_angle_alpha 90.00
_cell_angle_beta 90.00
_cell_angle_gamma 120.00
_space_group_name_H-M_alt 'P 1'
_space_group_IT_number 1
_space_group_name_Hall 'P 1'
loop_
_atom_site_label
_atom_site_type_symbol
_atom_site_fract_x
_atom_site_fract_y
_atom_site_fract_z
_atom_site_occupancy
La1 La 0.000 0.000 0.000 1
Sm1 Sm 0.667 0.333 0.500 1
Gd1 Gd 0.333 0.667 0.260 1
Gd2 Gd 0.333 0.667 0.740 1
Tl1 Tl 0.000 0.000 0.500 1
Tl2 Tl 0.667 0.333 0.000 1
```

Largest 10 diffraction maxima, in order of rising 2θ, 2θ from 10° to 90°:
2θ 32.06, d 2.792, rel. 88; 2θ 32.39, d 2.764, rel. 100; 2θ 41.95, d 2.154, rel. 14; 2θ 46.22, d 1.964, rel. 32; 2θ 57.57, d 1.601, rel. 34; 2θ 57.78, d 1.596, rel. 19; 2θ 63.78, d 1.459, rel. 28; 2θ 67.82, d 1.382, rel. 12; 2θ 77.00, d 1.238, rel. 14; 2θ 82.49, d 1.169, rel. 14



This entry pairs a crystal structure of NdH3S2O9 with its calculated X-ray powder pattern. Radiation: Cu Kα (λ = 1.5418 Å). Structure: a cell relaxed with PBE.
Kinematic intensities with the Lorentz-polarization factor, no thermal factor.

Atomic structure:
```
data_NdH3S2O9
_cell_length_a 8.480
_cell_length_b 6.935
_cell_length_c 10.606
_cell_angle_alpha 90.00
_cell_angle_beta 91.19
_cell_angle_gamma 90.00
_space_group_name_H-M_alt 'P 1'
_space_group_IT_number 1
_space_group_name_Hall 'P 1'
loop_
_atom_site_label
_atom_site_type_symbol
_atom_site_fract_x
_atom_site_fract_y
_atom_site_fract_z
_atom_site_occupancy
Nd1 Nd 0.058 0.168 0.346 1
Nd2 Nd 0.058 0.332 0.846 1
Nd3 Nd 0.942 0.668 0.154 1
Nd4 Nd 0.942 0.832 0.654 1
H1 H 0.347 0.555 0.655 1
H2 H 0.347 0.945 0.155 1
H3 H 0.410 0.712 0.136 1
H4 H 0.410 0.788 0.636 1
H5 H 0.469 0.098 0.877 1
H6 H 0.469 0.402 0.377 1
H7 H 0.531 0.598 0.623 1
H8 H 0.531 0.902 0.123 1
H9 H 0.590 0.212 0.364 1
H10 H 0.590 0.288 0.864 1
H11 H 0.653 0.055 0.845 1
H12 H 0.653 0.445 0.345 1
S1 S 0.194 0.663 0.391 1
S2 S 0.194 0.837 0.891 1
S3 S 0.281 0.156 0.583 1
S4 S 0.281 0.344 0.083 1
S5 S 0.719 0.656 0.917 1
S6 S 0.719 0.844 0.417 1
S7 S 0.806 0.163 0.109 1
S8 S 0.806 0.337 0.609 1
O1 O 0.103 0.506 0.320 1
O2 O 0.103 0.994 0.820 1
O3 O 0.121 0.065 0.562 1
O4 O 0.121 0.435 0.062 1
O5 O 0.131 0.673 0.519 1
O6 O 0.131 0.827 0.019 1
O7 O 0.150 0.662 0.812 1
O8 O 0.150 0.838 0.312 1
O9 O 0.263 0.187 0.179 1
O10 O 0.263 0.313 0.679 1
O11 O 0.313 0.242 0.458 1
O12 O 0.313 0.258 0.958 1
O13 O 0.362 0.629 0.392 1
O14 O 0.362 0.871 0.892 1
O15 O 0.396 0.013 0.623 1
O16 O 0.396 0.487 0.123 1
O17 O 0.435 0.650 0.663 1
O18 O 0.435 0.850 0.163 1
O19 O 0.565 0.150 0.837 1
O20 O 0.565 0.350 0.337 1
O21 O 0.604 0.513 0.877 1
O22 O 0.604 0.987 0.377 1
O23 O 0.638 0.129 0.108 1
O24 O 0.638 0.371 0.608 1
O25 O 0.687 0.742 0.042 1
O26 O 0.687 0.758 0.542 1
O27 O 0.737 0.687 0.321 1
O28 O 0.737 0.813 0.821 1
O29 O 0.850 0.162 0.688 1
O30 O 0.850 0.338 0.188 1
O31 O 0.869 0.173 0.981 1
O32 O 0.869 0.327 0.481 1
O33 O 0.879 0.565 0.938 1
O34 O 0.879 0.935 0.438 1
O35 O 0.897 0.006 0.180 1
O36 O 0.897 0.494 0.680 1
```

Largest 10 diffraction maxima, in order of rising 2θ, 2θ from 10° to 90°:
2θ 10.43, d 8.478, rel. 100; 2θ 23.43, d 3.797, rel. 14; 2θ 23.74, d 3.747, rel. 14; 2θ 26.65, d 3.345, rel. 28; 2θ 29.00, d 3.079, rel. 42; 2θ 30.16, d 2.963, rel. 39; 2θ 33.81, d 2.651, rel. 12; 2θ 41.93, d 2.155, rel. 13; 2θ 44.71, d 2.027, rel. 14; 2θ 48.38, d 1.881, rel. 17



This entry pairs a crystal structure of Cu2Ag3 with its calculated X-ray powder pattern. Radiation: Cu Kα (λ = 1.5418 Å). Structure: a cell relaxed with PBE.
Kinematic intensities with the Lorentz-polarization factor, no thermal factor.

Atomic structure:
```
data_Cu2Ag3
_cell_length_a 2.865
_cell_length_b 3.675
_cell_length_c 14.771
_cell_angle_alpha 90.00
_cell_angle_beta 90.00
_cell_angle_gamma 90.00
_space_group_name_H-M_alt 'P 1'
_space_group_IT_number 1
_space_group_name_Hall 'P 1'
loop_
_atom_site_label
_atom_site_type_symbol
_atom_site_fract_x
_atom_site_fract_y
_atom_site_fract_z
_atom_site_occupancy
Cu1 Cu 0.000 0.000 0.208 1
Cu2 Cu 0.000 0.000 0.792 1
Cu3 Cu 0.500 0.500 0.292 1
Cu4 Cu 0.500 0.500 0.708 1
Ag1 Ag 0.000 0.000 0.000 1
Ag2 Ag 0.000 0.000 0.388 1
Ag3 Ag 0.000 0.000 0.612 1
Ag4 Ag 0.500 0.500 0.112 1
Ag5 Ag 0.500 0.500 0.500 1
Ag6 Ag 0.500 0.500 0.888 1
```

Largest 10 diffraction maxima, in order of rising 2θ, 2θ from 10° to 90°:
2θ 30.35, d 2.945, rel. 16; 2θ 39.12, d 2.302, rel. 97; 2θ 39.90, d 2.259, rel. 100; 2θ 44.03, d 2.057, rel. 68; 2θ 49.62, d 1.837, rel. 26; 2θ 62.94, d 1.477, rel. 12; 2θ 68.48, d 1.370, rel. 34; 2θ 77.15, d 1.236, rel. 18; 2θ 78.66, d 1.216, rel. 23; 2θ 85.89, d 1.132, rel. 11



What is the formula in the second record? LaSmGd2Tl2



Copy entry 1 word for word.
This entry pairs a crystal structure of TaAuO3 with its calculated X-ray powder pattern. Radiation: Cu Kα (λ = 1.5418 Å). Structure: a cell relaxed with PBE.
Kinematic intensities with the Lorentz-polarization factor, no thermal factor.

Atomic structure:
```
data_TaAuO3
_cell_length_a 6.238
_cell_length_b 6.238
_cell_length_c 6.238
_cell_angle_alpha 51.30
_cell_angle_beta 51.30
_cell_angle_gamma 51.30
_space_group_name_H-M_alt 'P 1'
_space_group_IT_number 1
_space_group_name_Hall 'P 1'
loop_
_atom_site_label
_atom_site_type_symbol
_atom_site_fract_x
_atom_site_fract_y
_atom_site_fract_z
_atom_site_occupancy
Ta1 Ta 0.157 0.157 0.157 1
Ta2 Ta 0.843 0.843 0.843 1
Au1 Au 0.366 0.366 0.366 1
Au2 Au 0.634 0.634 0.634 1
O1 O 0.035 0.441 0.819 1
O2 O 0.181 0.965 0.559 1
O3 O 0.441 0.819 0.035 1
O4 O 0.559 0.181 0.965 1
O5 O 0.819 0.035 0.441 1
O6 O 0.965 0.559 0.181 1
```

Largest 10 diffraction maxima, in order of rising 2θ, 2θ from 10° to 90°:
2θ 21.94, d 4.051, rel. 20; 2θ 29.16, d 3.063, rel. 100; 2θ 33.17, d 2.701, rel. 99; 2θ 44.74, d 2.026, rel. 33; 2θ 47.61, d 1.910, rel. 32; 2θ 56.82, d 1.620, rel. 33; 2θ 59.27, d 1.559, rel. 22; 2θ 60.45, d 1.531, rel. 13; 2θ 69.63, d 1.350, rel. 20; 2θ 77.21, d 1.236, rel. 13